This entry pairs a crystal structure of UAlGa6 with its computed PXRD pattern. Radiation: Cu Kα, 1.54184 Å. Structure: a cell relaxed with GGA-PBE.
Lines closer than 0.1° are merged.

Largest 10 diffraction maxima, most intense first, 2θ from 10° to 80°:
(2 2 1), 38.15 deg, 2.359 Å, intensity 100
(0 4 0), 36.01 deg, 2.494 Å, intensity 60
(1 1 0), 16.15 deg, 5.487 Å, intensity 34
(1 1 1), 25.19 deg, 3.535 Å, intensity 29
(0 0 2), 38.98 deg, 2.311 Å, intensity 27
(0 4 2), 54.13 deg, 1.694 Å, intensity 17
(2 2 3), 70.05 deg, 1.343 Å, intensity 17
(2 6 1), 66.20 deg, 1.412 Å, intensity 13
(3 1 0), 42.24 deg, 2.140 Å, intensity 11
(3 1 2), 58.81 deg, 1.570 Å, intensity 8

Structural model:
```
data_UAlGa6
_space_group_name_H-M_alt 'C m m m'
_space_group_IT_number 65
_space_group_name_Hall '-C 2 2'
_cell_length_a 6.573
_cell_length_b 9.967
_cell_length_c 4.622
_cell_angle_alpha 90.00
_cell_angle_beta 90.00
_cell_angle_gamma 90.00
loop_
_atom_site_label
_atom_site_type_symbol
_atom_site_fract_x
_atom_site_fract_y
_atom_site_fract_z
U1 U 0.000 0.000 0.000
Al1 Al 0.000 0.500 0.000
Ga1 Ga 0.000 0.210 0.500
Ga2 Ga 0.202 0.500 0.500
Ga3 Ga 0.250 0.250 0.000
```